Entry 1:
Structure and calculated powder diffractogram of Eu2HgBi (a DFT-relaxed cell (PBE, the Materials Project); Cu Kα, 1.54184 Å).

Cell and atoms:
```
data_Eu2HgBi
_chemical_formula_sum 'Eu2 Hg1 Bi1'
_cell_length_a 5.6362
_cell_length_b 5.6362
_cell_length_c 5.6362
_cell_angle_alpha 60.00
_cell_angle_beta 60.00
_cell_angle_gamma 60.00
_symmetry_space_group_name_H-M 'P 1'
_symmetry_Int_Tables_number 1
loop_
_symmetry_equiv_pos_as_xyz
'x,y,z'
loop_
_atom_site_label
_atom_site_fract_x
_atom_site_fract_y
_atom_site_fract_z
_atom_site_occupancy
Eu1 0.2500 0.2500 0.2500 1
Eu2 0.7500 0.7500 0.7500 1
Hg1 0.0000 0.0000 0.0000 1
Bi1 0.5000 0.5000 0.5000 1
```

Peak list (6 most intense, 2θ from 15° to 90°, sorted by position)
2θ = 31.75°, d = 2.818 Å, intensity 100; 2θ = 45.52°, d = 1.993 Å, intensity 19; 2θ = 56.56°, d = 1.627 Å, intensity 40; 2θ = 66.34°, d = 1.409 Å, intensity 12; 2θ = 75.42°, d = 1.260 Å, intensity 17; 2θ = 84.15°, d = 1.150 Å, intensity 4


Entry 2:
Structure and calculated powder diffractogram of MgTe2Mo2W2Se4S2 (a DFT-relaxed cell (PBE, the Materials Project); Cu Kα, 1.54184 Å).

Cell and atoms:
```
data_MgTe2Mo2W2Se4S2
_chemical_formula_sum 'Mg1 Te2 Mo2 W2 Se4 S2'
_cell_length_a 3.3382
_cell_length_b 3.3382
_cell_length_c 45.1823
_cell_angle_alpha 90.00
_cell_angle_beta 90.00
_cell_angle_gamma 120.00
_symmetry_space_group_name_H-M 'P 1'
_symmetry_Int_Tables_number 1
loop_
_symmetry_equiv_pos_as_xyz
'x,y,z'
loop_
_atom_site_label
_atom_site_fract_x
_atom_site_fract_y
_atom_site_fract_z
_atom_site_occupancy
Mg1 0.0000 0.0000 0.0000 1
Te1 0.6667 0.3333 0.6782 1
Te2 0.6667 0.3333 0.7622 1
Mo1 0.3333 0.6667 0.7202 1
Mo2 0.6667 0.3333 0.9028 1
W1 0.3333 0.6667 0.1046 1
W2 0.6667 0.3333 0.2845 1
Se1 0.3333 0.6667 0.2473 1
Se2 0.3333 0.6667 0.3216 1
Se3 0.3333 0.6667 0.8661 1
Se4 0.3333 0.6667 0.9404 1
S1 0.6667 0.3333 0.0709 1
S2 0.6667 0.3333 0.1382 1
```

Peak list (6 most intense, 2θ from 15° to 90°, sorted by position)
2θ = 30.95°, d = 2.890 Å, intensity 54; 2θ = 32.52°, d = 2.754 Å, intensity 35; 2θ = 34.86°, d = 2.573 Å, intensity 81; 2θ = 36.91°, d = 2.435 Å, intensity 39; 2θ = 40.59°, d = 2.223 Å, intensity 100; 2θ = 55.02°, d = 1.669 Å, intensity 40